1.
Diffraction record for TbSm2Tm5. The powder XRD pattern is computed, not measured: it uses the GGA-PBE geometry in Alexandria and Cu Ka.
Neutral-atom scattering factors, no anomalous dispersion.

Atomic structure:
abc: 7.062 14.129 4.986
angles: 90.00 90.00 90.00
Fractional positions:
1 Tb 0.000 0.000 0.000
2 Tb 0.500 0.500 0.000
3 Sm 0.249 0.375 0.500
4 Sm 0.251 0.875 0.500
5 Sm 0.749 0.125 0.500
6 Sm 0.751 0.625 0.500
7 Tm 0.000 0.500 0.000
8 Tm 0.001 0.750 0.000
9 Tm 0.249 0.125 0.500
10 Tm 0.251 0.625 0.500
11 Tm 0.499 0.250 0.000
12 Tm 0.500 0.000 0.000
13 Tm 0.501 0.750 0.000
14 Tm 0.749 0.375 0.500
15 Tm 0.751 0.875 0.500
16 Tm 0.999 0.250 0.000

Peak list (5 most intense, 5° ≤ 2θ ≤ 70°, low angle first)
- (2 0 1), 2θ = 31.03°, d 2.882, intensity 100
- (2 4 0), 2θ = 35.98°, d 2.496, intensity 51
- (4 0 0), 2θ = 51.80°, d 1.765, intensity 36
- (4 4 1), 2θ = 61.62°, d 1.505, intensity 43
- (4 0 2), 2θ = 64.69°, d 1.441, intensity 12

2.
Diffraction record for ZnGaSbPt2. The powder XRD pattern is computed, not measured: it uses the GGA-PBE geometry in Alexandria and Cu Ka.
Neutral-atom scattering factors, no anomalous dispersion.

Atomic structure:
abc: 4.753 4.753 4.558
angles: 90.00 90.00 90.00
Fractional positions:
1 Zn 0.000 0.000 0.000
2 Ga 0.000 0.000 0.500
3 Sb 0.500 0.500 0.000
4 Pt 0.000 0.500 0.500
5 Pt 0.500 0.000 0.500

Peak list (6 most intense, 5° ≤ 2θ ≤ 70°, low angle first)
- (0 0 1), 2θ = 19.48°, d 4.558, intensity 25
- (1 1 1), 2θ = 33.12°, d 2.705, intensity 100
- (2 0 0), 2θ = 37.86°, d 2.377, intensity 58
- (0 0 2), 2θ = 39.55°, d 2.279, intensity 26
- (2 0 2), 2θ = 55.90°, d 1.645, intensity 38
- (3 1 1), 2θ = 65.38°, d 1.427, intensity 28

3.
Diffraction record for Ag3SbPb. The powder XRD pattern is computed, not measured: it uses the GGA-PBE geometry in Alexandria and Cu Ka.
Neutral-atom scattering factors, no anomalous dispersion.

Atomic structure:
abc: 4.921 7.607 7.887
angles: 90.00 128.48 90.00
Fractional positions:
1 Ag 0.000 0.065 0.250
2 Ag 0.000 0.935 0.750
3 Ag 0.276 0.255 0.026
4 Ag 0.276 0.745 0.526
5 Ag 0.724 0.255 0.474
6 Ag 0.724 0.745 0.974
7 Sb 0.000 0.434 0.250
8 Sb 0.000 0.566 0.750
9 Pb 0.500 0.164 0.750
10 Pb 0.500 0.836 0.250

Peak list (6 most intense, 5° ≤ 2θ ≤ 70°, low angle first)
- (0 2 1), 2θ = 27.55°, d 3.238, intensity 16
- (1 2 -2), 2θ = 33.12°, d 2.705, intensity 47
- (1 1 1), 2θ = 36.33°, d 2.473, intensity 100
- (2 0 -2), 2θ = 36.52°, d 2.461, intensity 47
- (0 2 2), 2θ = 37.52°, d 2.397, intensity 15
- (1 3 -1), 2θ = 40.00°, d 2.254, intensity 34